Record 1
Starting from a cell relaxed with PBE, the powder XRD pattern of Dy3BeCrS7 was computed for Cu Kα X-rays.

Main lines, sorted by position (15° ≤ 2θ ≤ 90°):
| 2θ/deg | Rel. int. |
| --- | --- |
| 18.21 | 89 |
| 23.74 | 44 |
| 26.08 | 100 |
| 28.45 | 75 |
| 35.72 | 69 |
| 36.91 | 41 |
| 41.59 | 66 |
| 42.02 | 47 |
| 50.26 | 28 |
| 52.78 | 33 |

Structure:
```
Dy3BeCrS7
1.0
9.584 0.000 0.000
-4.792 8.300 0.000
0.000 0.000 6.016
Dy Be Cr S
6 2 2 14
Direct
0.149 0.393 0.000
0.244 0.851 0.000
0.393 0.244 0.500
0.607 0.756 0.000
0.756 0.149 0.500
0.851 0.607 0.500
0.333 0.667 0.416
0.667 0.333 0.916
0.000 0.000 0.307
0.000 0.000 0.807
0.089 0.227 0.566
0.102 0.581 0.280
0.138 0.911 0.566
0.227 0.138 0.066
0.333 0.667 0.766
0.419 0.521 0.280
0.479 0.898 0.280
0.521 0.102 0.780
0.581 0.479 0.780
0.667 0.333 0.266
0.773 0.862 0.566
0.862 0.089 0.066
0.898 0.419 0.780
0.911 0.773 0.066
```

Record 2
Starting from a cell relaxed with PBE, the powder XRD pattern of Pr3BeCrS7 was computed for Cu Kα X-rays.

Main lines, sorted by position (15° ≤ 2θ ≤ 90°):
| 2θ/deg | Rel. int. |
| --- | --- |
| 17.91 | 80 |
| 23.07 | 56 |
| 25.27 | 100 |
| 27.16 | 81 |
| 34.36 | 72 |
| 36.28 | 43 |
| 40.31 | 66 |
| 40.63 | 66 |
| 48.04 | 53 |
| 50.47 | 35 |

Structure:
```
Pr3BeCrS7
1.0
10.030 0.000 0.000
-5.015 8.687 0.000
0.000 0.000 6.029
Pr Be Cr S
6 2 2 14
Direct
0.142 0.390 0.000
0.249 0.858 0.000
0.390 0.249 0.500
0.610 0.751 0.000
0.751 0.142 0.500
0.858 0.610 0.500
0.333 0.667 0.416
0.667 0.333 0.916
0.000 0.000 0.280
0.000 0.000 0.780
0.079 0.219 0.533
0.110 0.590 0.286
0.140 0.921 0.533
0.219 0.140 0.033
0.333 0.667 0.765
0.410 0.520 0.286
0.480 0.890 0.286
0.520 0.110 0.786
0.590 0.480 0.786
0.667 0.333 0.265
0.781 0.860 0.533
0.860 0.079 0.033
0.890 0.410 0.786
0.921 0.781 0.033
```

Record 3
Starting from a cell relaxed with PBE, the powder XRD pattern of Cs2BeF4 was computed for Cu Kα X-rays.

Main lines, sorted by position (15° ≤ 2θ ≤ 90°):
| 2θ/deg | Rel. int. |
| --- | --- |
| 19.55 | 26 |
| 24.14 | 84 |
| 27.06 | 100 |
| 28.34 | 58 |
| 28.56 | 57 |
| 32.73 | 24 |
| 33.45 | 41 |
| 34.79 | 29 |
| 46.93 | 25 |
| 49.09 | 29 |

Structure:
```
Cs2BeF4
1.0
8.288 0.000 0.000
0.000 6.251 0.000
0.000 0.000 10.937
Cs Be F
8 4 16
Direct
0.011 0.250 0.189
0.163 0.750 0.407
0.337 0.250 0.907
0.489 0.750 0.689
0.511 0.250 0.311
0.663 0.750 0.093
0.837 0.250 0.593
0.989 0.750 0.811
0.241 0.750 0.084
0.259 0.250 0.584
0.741 0.750 0.416
0.759 0.250 0.916
0.052 0.750 0.088
0.192 0.044 0.649
0.192 0.456 0.649
0.195 0.250 0.447
0.305 0.750 0.947
0.308 0.544 0.149
0.308 0.956 0.149
0.448 0.250 0.588
0.552 0.750 0.412
0.692 0.044 0.851
0.692 0.456 0.851
0.695 0.250 0.053
0.805 0.750 0.553
0.808 0.544 0.351
0.808 0.956 0.351
0.948 0.250 0.912
```

Record 4
Starting from a cell relaxed with PBE, the powder XRD pattern of CsLiBeF4 was computed for Cu Kα X-rays.

Main lines, sorted by position (15° ≤ 2θ ≤ 90°):
| 2θ/deg | Rel. int. |
| --- | --- |
| 18.76 | 21 |
| 18.89 | 38 |
| 19.78 | 12 |
| 27.45 | 100 |
| 32.87 | 19 |
| 38.33 | 14 |
| 38.66 | 35 |
| 38.86 | 15 |
| 40.18 | 13 |
| 44.73 | 15 |

Structure:
```
CsLiBeF4
1.0
5.448 0.000 0.000
0.000 8.978 0.000
-5.368 0.000 9.398
Cs Li Be F
4 4 4 16
Direct
0.025 0.002 0.274
0.025 0.498 0.774
0.975 0.502 0.226
0.975 0.998 0.726
0.338 0.685 0.581
0.338 0.815 0.081
0.662 0.185 0.919
0.662 0.315 0.419
0.328 0.199 0.085
0.328 0.301 0.585
0.672 0.699 0.415
0.672 0.801 0.915
0.027 0.245 0.469
0.027 0.255 0.969
0.336 0.025 0.087
0.336 0.475 0.587
0.389 0.245 0.735
0.389 0.255 0.235
0.443 0.740 0.950
0.443 0.760 0.450
0.557 0.240 0.550
0.557 0.260 0.050
0.611 0.745 0.765
0.611 0.755 0.265
0.664 0.525 0.413
0.664 0.975 0.913
0.973 0.745 0.031
0.973 0.755 0.531
```

Record 5
Starting from a cell relaxed with PBE, the powder XRD pattern of CsBePO4 was computed for Cu Kα X-rays.

Main lines, sorted by position (15° ≤ 2θ ≤ 90°):
| 2θ/deg | Rel. int. |
| --- | --- |
| 19.78 | 30 |
| 28.19 | 49 |
| 28.33 | 100 |
| 31.66 | 16 |
| 34.54 | 15 |
| 40.27 | 14 |
| 45.31 | 15 |
| 45.72 | 13 |
| 54.44 | 17 |
| 58.12 | 15 |

Structure:
```
CsBePO4
1.0
8.850 0.000 0.000
0.000 5.193 0.000
0.000 0.000 8.948
Cs Be P O
4 4 4 16
Direct
0.008 0.250 0.194
0.492 0.750 0.694
0.508 0.250 0.306
0.992 0.750 0.806
0.173 0.750 0.410
0.327 0.250 0.910
0.673 0.750 0.090
0.827 0.250 0.590
0.182 0.250 0.584
0.318 0.750 0.084
0.682 0.250 0.916
0.818 0.750 0.416
0.010 0.250 0.603
0.235 0.008 0.497
0.235 0.492 0.497
0.241 0.750 0.238
0.259 0.250 0.738
0.265 0.508 0.997
0.265 0.992 0.997
0.490 0.750 0.103
0.510 0.250 0.897
0.735 0.008 0.003
0.735 0.492 0.003
0.741 0.750 0.262
0.759 0.250 0.762
0.765 0.508 0.503
0.765 0.992 0.503
0.990 0.750 0.397
```

Record 6
Starting from a cell relaxed with PBE, the powder XRD pattern of Be3Cu was computed for Cu Kα X-rays.

Main lines, sorted by position (15° ≤ 2θ ≤ 90°):
| 2θ/deg | Rel. int. |
| --- | --- |
| 29.66 | 100 |
| 34.39 | 51 |
| 49.42 | 66 |
| 58.70 | 40 |
| 61.59 | 11 |
| 72.48 | 10 |
| 80.21 | 15 |
| 82.74 | 13 |

Structure:
```
Be3Cu
1.0
5.216 0.000 0.000
0.000 5.216 0.000
0.000 0.000 5.216
Be Cu
12 4
Direct
0.000 0.000 0.000
0.000 0.500 0.500
0.250 0.250 0.250
0.250 0.250 0.750
0.250 0.750 0.250
0.250 0.750 0.750
0.500 0.000 0.500
0.500 0.500 0.000
0.750 0.250 0.250
0.750 0.250 0.750
0.750 0.750 0.250
0.750 0.750 0.750
0.000 0.000 0.500
0.000 0.500 0.000
0.500 0.000 0.000
0.500 0.500 0.500
```

Record 7
Starting from a cell relaxed with PBE, the powder XRD pattern of Be3Cu was computed for Cu Kα X-rays.

Main lines, sorted by position (15° ≤ 2θ ≤ 90°):
| 2θ/deg | Rel. int. |
| --- | --- |
| 25.04 | 18 |
| 26.19 | 100 |
| 30.33 | 12 |
| 33.13 | 12 |
| 39.75 | 9 |
| 43.43 | 97 |
| 51.42 | 81 |
| 69.52 | 17 |
| 79.67 | 21 |
| 85.62 | 21 |

Structure:
```
Be3Cu
1.0
2.085 1.204 6.799
-2.085 1.204 6.799
0.000 -2.407 6.799
Be Cu
9 3
Direct
0.000 0.000 0.000
0.188 0.188 0.188
0.249 0.750 0.750
0.251 0.251 0.751
0.251 0.751 0.251
0.500 0.500 0.500
0.750 0.249 0.750
0.750 0.750 0.249
0.751 0.251 0.251
0.310 0.310 0.310
0.688 0.688 0.688
0.815 0.815 0.815
```

Record 8
Starting from a cell relaxed with PBE, the powder XRD pattern of Be2Cu was computed for Cu Kα X-rays.

Main lines, sorted by position (15° ≤ 2θ ≤ 90°):
| 2θ/deg | Rel. int. |
| --- | --- |
| 25.77 | 98 |
| 42.71 | 100 |
| 50.55 | 74 |
| 52.97 | 1 |
| 61.99 | 10 |
| 68.27 | 17 |
| 78.20 | 29 |
| 83.97 | 21 |

Structure:
```
Be2Cu
1.0
0.000 2.994 2.994
2.994 0.000 2.994
2.994 2.994 0.000
Be Cu
4 2
Direct
0.000 0.000 0.000
0.000 0.000 0.500
0.000 0.500 0.000
0.500 0.000 0.000
0.375 0.375 0.375
0.625 0.625 0.625
```

Record 9
Starting from a cell relaxed with PBE, the powder XRD pattern of DyBeCu4 was computed for Cu Kα X-rays.

Main lines, sorted by position (15° ≤ 2θ ≤ 90°):
| 2θ/deg | Rel. int. |
| --- | --- |
| 20.25 | 16 |
| 30.87 | 100 |
| 35.45 | 24 |
| 41.16 | 62 |
| 42.71 | 93 |
| 47.11 | 24 |
| 60.82 | 27 |
| 64.32 | 32 |
| 68.65 | 22 |
| 75.02 | 17 |

Structure:
```
DyBeCu4
1.0
5.064 0.000 0.000
-2.532 4.386 0.000
0.000 0.000 3.858
Dy Be Cu
1 1 4
Direct
0.000 0.000 0.000
0.333 0.667 0.000
0.010 0.505 0.500
0.495 0.505 0.500
0.495 0.990 0.500
0.667 0.333 0.000
```

Record 10
Starting from a cell relaxed with PBE, the powder XRD pattern of K2Be2CuO6F8 was computed for Cu Kα X-rays.

Main lines, sorted by position (15° ≤ 2θ ≤ 90°):
| 2θ/deg | Rel. int. |
| --- | --- |
| 23.35 | 82 |
| 23.78 | 100 |
| 25.01 | 57 |
| 25.16 | 71 |
| 26.00 | 41 |
| 30.92 | 49 |
| 32.03 | 60 |
| 36.82 | 55 |
| 41.61 | 45 |
| 43.18 | 48 |

Structure:
```
K2Be2CuO6F8
1.0
5.948 0.000 0.000
0.000 13.524 0.000
-2.278 0.000 7.122
K Be Cu O F
4 4 2 12 16
Direct
0.127 0.120 0.391
0.127 0.380 0.891
0.873 0.620 0.109
0.873 0.880 0.609
0.265 0.645 0.888
0.265 0.855 0.388
0.735 0.145 0.612
0.735 0.355 0.112
0.500 0.000 0.000
0.500 0.500 0.500
0.219 0.562 0.471
0.219 0.938 0.971
0.250 0.170 0.046
0.250 0.330 0.546
0.336 0.132 0.931
0.336 0.368 0.431
0.664 0.632 0.569
0.664 0.868 0.069
0.750 0.670 0.454
0.750 0.830 0.954
0.781 0.062 0.029
0.781 0.438 0.529
0.082 0.728 0.862
0.082 0.772 0.362
0.142 0.556 0.725
0.142 0.944 0.225
0.292 0.583 0.069
0.292 0.917 0.569
0.496 0.672 0.854
0.496 0.828 0.354
0.504 0.172 0.646
0.504 0.328 0.146
0.708 0.083 0.431
0.708 0.417 0.931
0.858 0.056 0.775
0.858 0.444 0.275
0.918 0.228 0.638
0.918 0.272 0.138
```

Record 11
Starting from a cell relaxed with PBE, the powder XRD pattern of BeCuO5F4 was computed for Cu Kα X-rays.

Main lines, sorted by position (15° ≤ 2θ ≤ 90°):
| 2θ/deg | Rel. int. |
| --- | --- |
| 15.28 | 100 |
| 17.49 | 45 |
| 19.06 | 53 |
| 19.70 | 24 |
| 24.94 | 60 |
| 26.44 | 24 |
| 29.64 | 22 |
| 30.85 | 36 |
| 34.52 | 39 |
| 38.67 | 24 |

Structure:
```
BeCuO5F4
1.0
5.307 0.000 0.000
2.499 6.050 0.000
0.972 3.035 10.141
Be Cu O F
2 2 10 8
Direct
0.110 0.479 0.275
0.890 0.521 0.725
0.500 0.000 0.500
0.500 0.500 0.000
0.035 0.073 0.124
0.096 0.952 0.541
0.209 0.889 0.867
0.322 0.353 0.952
0.483 0.585 0.454
0.517 0.415 0.546
0.678 0.647 0.048
0.791 0.111 0.133
0.904 0.048 0.459
0.965 0.927 0.876
0.069 0.653 0.348
0.153 0.551 0.751
0.249 0.556 0.134
0.335 0.222 0.347
0.665 0.778 0.653
0.751 0.444 0.866
0.847 0.449 0.249
0.931 0.347 0.652
```